Entry 1:
Starting from the GGA-PBE geometry in Alexandria, the PXRD pattern of K2LiAgCl4 was computed for Cu Kα (weighted mean of Kα1 and Kα2).
Intensities are scaled so that the largest is 100.

Most intense lines, 2θ from 10° to 90°, in order of falling intensity:
Position (°2θ)  I_rel  (hkl)
29.94  100  0 4 0
30.14  98  0 0 2
31.04  85  4 0 -2
13.15  84  1 1 -1
43.00  65  0 4 2
43.67  59  4 4 -2
14.84  51  0 2 0
43.18  29  4 0 0
54.52  29  4 4 -4
44.45  29  4 0 -4

Structure:
```
data_K2LiAgCl4
_cell_length_a 11.5282
_cell_length_b 11.9378
_cell_length_c 8.1562
_cell_angle_alpha 90.00
_cell_angle_beta 133.36
_cell_angle_gamma 90.00
_space_group_name_H-M_alt 'C 1 2/c 1'
_space_group_IT_number 15
_space_group_name_Hall '-C 2yc'
loop_
_atom_site_label
_atom_site_fract_x
_atom_site_fract_y
_atom_site_fract_z
K1 0.0000 0.0000 0.0000
K2 0.2500 0.2500 0.0000
Li1 0.0000 0.5000 0.0000
Ag1 0.2500 0.2500 0.5000
Cl1 0.0064 0.2644 0.4820
Cl2 0.2162 0.4947 0.4744
```

Entry 2:
Starting from the GGA-PBE geometry in Alexandria, the PXRD pattern of K2LuAgCl6 was computed for Cu Kα (weighted mean of Kα1 and Kα2).
Intensities are scaled so that the largest is 100.

Most intense lines, 2θ from 10° to 90°, in order of falling intensity:
Position (°2θ)  I_rel  (hkl)
16.74  100  2 0 0
23.76  99  2 2 0
33.85  78  4 0 0
48.63  51  4 4 0
37.99  51  4 2 0
41.78  45  4 2 2
51.79  26  6 0 0
66.01  23  6 4 2
81.24  21  8 4 0
54.82  20  6 2 0

Structure:
```
data_K2LuAgCl6
_cell_length_a 10.5915
_cell_length_b 10.5915
_cell_length_c 10.5915
_cell_angle_alpha 90.00
_cell_angle_beta 90.00
_cell_angle_gamma 90.00
_space_group_name_H-M_alt 'F m -3 m'
_space_group_IT_number 225
_space_group_name_Hall '-F 4 2 3'
loop_
_atom_site_label
_atom_site_fract_x
_atom_site_fract_y
_atom_site_fract_z
K1 0.2500 0.2500 0.2500
Lu1 0.0000 0.0000 0.0000
Ag1 0.0000 0.0000 0.5000
Cl1 0.0000 0.0000 0.2427
```

Entry 3:
Starting from the GGA-PBE geometry in Alexandria, the PXRD pattern of K3Mn2AgCl9 was computed for Cu Kα (weighted mean of Kα1 and Kα2).
Intensities are scaled so that the largest is 100.

Most intense lines, 2θ from 10° to 90°, in order of falling intensity:
Position (°2θ)  I_rel  (hkl)
35.50  100  2 0 2
17.53  64  1 0 1
24.82  35  0 1 2
24.97  33  1 1 0
51.23  31  2 2 0
50.92  30  0 2 4
43.92  21  3 0 0
30.67  18  0 2 1
39.95  15  2 1 1
63.87  15  0 4 2

Structure:
```
data_K3Mn2AgCl9
_cell_length_a 7.1332
_cell_length_b 7.1332
_cell_length_c 8.8106
_cell_angle_alpha 90.00
_cell_angle_beta 90.00
_cell_angle_gamma 120.00
_space_group_name_H-M_alt 'P -3 m 1'
_space_group_IT_number 164
_space_group_name_Hall '-P 3 2"'
loop_
_atom_site_label
_atom_site_fract_x
_atom_site_fract_y
_atom_site_fract_z
K1 0.0000 0.0000 0.0000
K2 0.3333 0.6667 0.6580
Mn1 0.3333 0.6667 0.1655
Ag1 0.0000 0.0000 0.5000
Cl1 0.0000 0.5000 0.0000
Cl2 0.1728 0.3455 0.3194
```

Entry 4:
Starting from the GGA-PBE geometry in Alexandria, the PXRD pattern of K2MnAgCl5 was computed for Cu Kα (weighted mean of Kα1 and Kα2).
Intensities are scaled so that the largest is 100.

Most intense lines, 2θ from 10° to 90°, in order of falling intensity:
Position (°2θ)  I_rel  (hkl)
30.46  100  1 1 3
29.30  63  0 6 1
35.12  41  1 5 2
16.76  34  0 2 2
13.85  33  0 0 2
26.70  27  1 3 1
43.70  25  2 0 0
53.49  21  2 6 1
49.43  21  1 7 4
11.67  20  0 2 1

Structure:
```
data_K2MnAgCl5
_cell_length_a 4.1428
_cell_length_b 18.8399
_cell_length_c 12.7897
_cell_angle_alpha 90.00
_cell_angle_beta 90.00
_cell_angle_gamma 90.00
_space_group_name_H-M_alt 'C m c 21'
_space_group_IT_number 36
_space_group_name_Hall 'C 2c -2'
loop_
_atom_site_label
_atom_site_fract_x
_atom_site_fract_y
_atom_site_fract_z
K1 0.0000 0.1258 0.0000
K2 0.0000 0.1274 0.6351
Mn1 0.0000 0.4321 0.7628
Ag1 0.0000 0.2263 0.3554
Cl1 0.0000 0.0417 0.3525
Cl2 0.0000 0.2992 0.9793
Cl3 0.0000 0.3152 0.6971
Cl4 0.0000 0.3618 0.3195
Cl5 0.0000 0.4935 0.6028
```

Entry 5:
Starting from the GGA-PBE geometry in Alexandria, the PXRD pattern of K3NaAg2Cl9 was computed for Cu Kα (weighted mean of Kα1 and Kα2).
Intensities are scaled so that the largest is 100.

Most intense lines, 2θ from 10° to 90°, in order of falling intensity:
Position (°2θ)  I_rel  (hkl)
34.77  100  2 0 2
17.18  82  1 0 1
24.31  46  0 1 2
24.47  37  1 1 0
50.16  32  2 2 0
49.81  30  0 2 4
43.00  28  3 0 0
39.13  19  2 1 1
38.92  17  1 1 3
14.06  16  1 0 0

Structure:
```
data_K3NaAg2Cl9
_cell_length_a 7.2746
_cell_length_b 7.2746
_cell_length_c 8.9970
_cell_angle_alpha 90.00
_cell_angle_beta 90.00
_cell_angle_gamma 120.00
_space_group_name_H-M_alt 'P -3 m 1'
_space_group_IT_number 164
_space_group_name_Hall '-P 3 2"'
loop_
_atom_site_label
_atom_site_fract_x
_atom_site_fract_y
_atom_site_fract_z
K1 0.0000 0.0000 0.0000
K2 0.3333 0.6667 0.6457
Na1 0.0000 0.0000 0.5000
Ag1 0.3333 0.6667 0.1597
Cl1 0.0000 0.5000 0.0000
Cl2 0.1694 0.3389 0.3179
```

Entry 6:
Starting from the GGA-PBE geometry in Alexandria, the PXRD pattern of K2NaAgCl4 was computed for Cu Kα (weighted mean of Kα1 and Kα2).
Intensities are scaled so that the largest is 100.

Most intense lines, 2θ from 10° to 90°, in order of falling intensity:
Position (°2θ)  I_rel  (hkl)
29.40  100  0 4 0
29.93  93  0 0 2
30.10  91  4 0 -2
12.84  76  1 1 -1
42.45  65  0 4 2
42.58  63  4 4 -2
52.69  32  4 4 0
42.71  31  4 0 0
14.58  30  0 2 0
53.14  29  4 4 -4

Structure:
```
data_K2NaAgCl4
_cell_length_a 11.8756
_cell_length_b 12.1534
_cell_length_c 8.3722
_cell_angle_alpha 90.00
_cell_angle_beta 134.51
_cell_angle_gamma 90.00
_space_group_name_H-M_alt 'C 1 2/c 1'
_space_group_IT_number 15
_space_group_name_Hall '-C 2yc'
loop_
_atom_site_label
_atom_site_fract_x
_atom_site_fract_y
_atom_site_fract_z
K1 0.0000 0.0000 0.0000
K2 0.2500 0.2500 0.0000
Na1 0.0000 0.5000 0.0000
Ag1 0.2500 0.2500 0.5000
Cl1 0.0030 0.2581 0.4754
Cl2 0.2301 0.4955 0.4805
```

Entry 7:
Starting from the GGA-PBE geometry in Alexandria, the PXRD pattern of KNaAg2Cl4 was computed for Cu Kα (weighted mean of Kα1 and Kα2).
Intensities are scaled so that the largest is 100.

Most intense lines, 2θ from 10° to 90°, in order of falling intensity:
Position (°2θ)  I_rel  (hkl)
34.59  100  2 2 0
27.56  85  1 1 2
17.09  56  1 1 0
16.35  30  1 0 1
45.47  27  3 1 2
15.92  27  0 1 1
28.90  26  1 2 1
55.78  22  2 3 3
21.45  21  0 0 2
42.54  21  1 2 3

Structure:
```
data_KNaAg2Cl4
_cell_length_a 7.1678
_cell_length_b 7.5182
_cell_length_c 8.2839
_cell_angle_alpha 90.00
_cell_angle_beta 90.00
_cell_angle_gamma 90.00
_space_group_name_H-M_alt 'I 2 2 2'
_space_group_IT_number 23
_space_group_name_Hall 'I 2 2'
loop_
_atom_site_label
_atom_site_fract_x
_atom_site_fract_y
_atom_site_fract_z
K1 0.0000 0.0000 0.0000
Na1 0.0000 0.0000 0.5000
Ag1 0.0000 0.5000 0.1806
Cl1 0.2356 0.2026 0.3213
```

Entry 8:
Starting from the GGA-PBE geometry in Alexandria, the PXRD pattern of KNiAgCl4 was computed for Cu Kα (weighted mean of Kα1 and Kα2).
Intensities are scaled so that the largest is 100.

Most intense lines, 2θ from 10° to 90°, in order of falling intensity:
Position (°2θ)  I_rel  (hkl)
10.83  100  0 0 1
24.81  49  0 2 0
31.36  49  1 1 2
33.95  44  2 1 -2
33.24  42  0 2 2
19.72  34  1 0 1
14.05  32  1 0 0
16.44  25  0 1 1
50.88  21  0 4 0
38.00  20  2 2 0

Structure:
```
data_KNiAgCl4
_cell_length_a 6.4845
_cell_length_b 7.1778
_cell_length_c 8.4035
_cell_angle_alpha 90.00
_cell_angle_beta 103.64
_cell_angle_gamma 90.00
_space_group_name_H-M_alt 'P 1 21/m 1'
_space_group_IT_number 11
_space_group_name_Hall '-P 2yb'
loop_
_atom_site_label
_atom_site_fract_x
_atom_site_fract_y
_atom_site_fract_z
K1 0.2421 0.2500 0.4402
Ni1 0.2819 0.7500 0.1668
Ag1 0.3502 0.2500 0.9868
Cl1 0.0135 0.7500 0.9440
Cl2 0.1490 0.7500 0.3911
Cl3 0.4769 0.0140 0.7738
```

Entry 9:
Starting from the GGA-PBE geometry in Alexandria, the PXRD pattern of KNpAg2Cl8 was computed for Cu Kα (weighted mean of Kα1 and Kα2).
Intensities are scaled so that the largest is 100.

Most intense lines, 2θ from 10° to 90°, in order of falling intensity:
Position (°2θ)  I_rel  (hkl)
13.65  100  0 1 -1
17.53  53  1 -1 0
16.60  43  1 0 -1
21.26  33  1 1 0
28.43  23  2 0 0
18.17  22  1 0 1
10.14  19  0 0 1
28.18  19  0 1 2
13.37  18  0 1 0
33.10  17  2 1 -1

Structure:
```
data_KNpAg2Cl8
_cell_length_a 6.3966
_cell_length_b 7.1780
_cell_length_c 9.3225
_cell_angle_alpha 109.98
_cell_angle_beta 91.74
_cell_angle_gamma 99.62
_space_group_name_H-M_alt 'P -1'
_space_group_IT_number 2
_space_group_name_Hall '-P 1'
loop_
_atom_site_label
_atom_site_fract_x
_atom_site_fract_y
_atom_site_fract_z
K1 0.0000 0.0000 0.0000
Np1 0.0000 0.0000 0.5000
Ag1 0.4761 0.3393 0.8148
Cl1 0.1160 0.7702 0.2489
Cl2 0.1567 0.8169 0.6508
Cl3 0.3514 0.2527 0.5379
Cl4 0.4560 0.2675 0.0580
```

Entry 10:
Starting from the GGA-PBE geometry in Alexandria, the PXRD pattern of K2NpAgCl8 was computed for Cu Kα (weighted mean of Kα1 and Kα2).
Intensities are scaled so that the largest is 100.

Most intense lines, 2θ from 10° to 90°, in order of falling intensity:
Position (°2θ)  I_rel  (hkl)
17.79  100  1 1 0
22.61  81  1 0 -2
25.37  76  1 1 -2
13.31  75  0 1 0
13.64  68  1 0 0
34.29  56  2 1 2
20.34  55  1 -1 0
22.41  44  0 1 2
17.95  40  0 0 2
40.75  36  1 1 4

Structure:
```
data_K2NpAgCl8
_cell_length_a 6.5482
_cell_length_b 6.7119
_cell_length_c 9.8836
_cell_angle_alpha 89.96
_cell_angle_beta 89.99
_cell_angle_gamma 82.41
_space_group_name_H-M_alt 'P -1'
_space_group_IT_number 2
_space_group_name_Hall '-P 1'
loop_
_atom_site_label
_atom_site_fract_x
_atom_site_fract_y
_atom_site_fract_z
K1 0.0007 0.9997 0.2303
Np1 0.5000 0.5000 0.5000
Ag1 0.5000 0.5000 0.0000
Cl1 0.2517 0.7908 0.9997
Cl2 0.2597 0.8322 0.5003
Cl3 0.2858 0.3691 0.3170
Cl4 0.2868 0.3684 0.6835
```

Entry 11:
Starting from the GGA-PBE geometry in Alexandria, the PXRD pattern of K3PuAg2Cl9 was computed for Cu Kα (weighted mean of Kα1 and Kα2).
Intensities are scaled so that the largest is 100.

Most intense lines, 2θ from 10° to 90°, in order of falling intensity:
Position (°2θ)  I_rel  (hkl)
16.57  100  1 0 1
33.51  59  2 0 2
23.33  41  0 1 2
23.71  41  1 1 0
37.35  31  1 1 3
37.85  25  2 1 1
48.52  20  2 2 0
41.46  19  1 2 2
47.70  17  0 2 4
51.24  12  3 0 3

Structure:
```
data_K3PuAg2Cl9
_cell_length_a 7.5052
_cell_length_b 7.5052
_cell_length_c 9.4162
_cell_angle_alpha 90.00
_cell_angle_beta 90.00
_cell_angle_gamma 120.00
_space_group_name_H-M_alt 'P -3 m 1'
_space_group_IT_number 164
_space_group_name_Hall '-P 3 2"'
loop_
_atom_site_label
_atom_site_fract_x
_atom_site_fract_y
_atom_site_fract_z
K1 0.0000 0.0000 0.0000
K2 0.3333 0.6667 0.7513
Pu1 0.0000 0.0000 0.5000
Ag1 0.3333 0.6667 0.1607
Cl1 0.0000 0.5000 0.0000
Cl2 0.1623 0.3247 0.3349
```

Entry 12:
Starting from the GGA-PBE geometry in Alexandria, the PXRD pattern of KAgSeCl6 was computed for Cu Kα (weighted mean of Kα1 and Kα2).
Intensities are scaled so that the largest is 100.

Most intense lines, 2θ from 10° to 90°, in order of falling intensity:
Position (°2θ)  I_rel  (hkl)
13.20  100  1 0 0
19.64  40  1 -1 0
19.92  40  1 -1 1
20.04  40  1 1 -1
37.50  37  2 -1 2
28.58  32  -1 1 1
29.16  31  1 -1 2
29.40  30  1 2 -1
37.78  28  2 2 -1
36.78  28  -2 1 1

Structure:
```
data_KAgSeCl6
_cell_length_a 6.7096
_cell_length_b 6.8710
_cell_length_c 6.8999
_cell_angle_alpha 119.04
_cell_angle_beta 90.28
_cell_angle_gamma 90.90
_space_group_name_H-M_alt 'P 1'
_space_group_IT_number 1
_space_group_name_Hall 'P 1'
loop_
_atom_site_label
_atom_site_fract_x
_atom_site_fract_y
_atom_site_fract_z
K1 0.0000 0.0000 0.0000
Ag1 0.4999 0.3311 0.6718
Se1 0.5001 0.6652 0.3374
Cl1 0.2836 0.3867 0.3616
Cl2 0.2896 0.6517 0.0450
Cl3 0.2978 0.9625 0.6174
Cl4 0.7017 0.3855 0.0436
Cl5 0.7123 0.6408 0.6171
Cl6 0.7156 0.9599 0.3544
```